For Cs2VNF6, a structure optimized by DFT (GGA+U) gives the simulated XRD peak list in this record (copper Kα).

Most intense lines, 2θ from 15° to 90°, in order of rising 2θ:
2θ = 18.8°, 4.719 Å, rel. 27; 2θ = 26.7°, 3.336 Å, rel. 52; 2θ = 27.0°, 3.297 Å, rel. 100; 2θ = 33.1°, 2.703 Å, rel. 56; 2θ = 38.1°, 2.359 Å, rel. 38; 2θ = 47.4°, 1.919 Å, rel. 35

Structure:
```
Cs2VNF6
1.0
-3.336 3.336 4.608
3.336 -3.336 4.608
3.336 3.336 -4.608
Cs V N F
2 1 1 6
Direct
0.250 0.750 0.500
0.750 0.250 0.500
0.000 0.000 0.000
0.500 0.500 0.000
0.201 0.201 0.000
0.201 0.201 0.403
0.201 0.799 0.000
0.799 0.201 0.000
0.799 0.799 0.000
0.799 0.799 0.597
```